TiAlAg: simulated PXRD pattern (λ = 1.5418 Å (Cu Kα)), based on a DFT-relaxed cell (PBE, Alexandria).

Principal peaks in the range 2θ from 15° to 90°, by angle:
| Position (°2θ) | I (rel.) | h k l |
| --- | --- | --- |
| 22.64 | 21 | 0 2 1 |
| 23.83 | 20 | 0 4 0 |
| 35.83 | 38 | 1 3 0 |
| 37.09 | 34 | 1 1 1 |
| 39.00 | 42 | 0 0 2 |
| 40.97 | 100 | 1 3 1 |
| 41.20 | 64 | 0 6 1 |
| 53.99 | 22 | 1 3 2 |
| 64.72 | 15 | 1 9 0 |
| 71.98 | 16 | 1 3 3 |
| 78.22 | 17 | 1 9 2 |
| 79.21 | 17 | 2 6 1 |

Structural model:
a b c (Å): 2.9003 14.9339 4.6192
angles (deg): 90.00 90.00 90.00
Space group Cmcm (No. 63)
One atom of each set of equivalent atoms:
Ti 0.0000 0.0467 0.2500 x4
Al 0.0000 0.3859 0.2500 x4
Ag 0.0000 0.2835 0.7500 x4

***

Dy3Y5O12: simulated PXRD pattern (λ = 1.5418 Å (Cu Kα)), based on a DFT-relaxed cell (PBE, Alexandria).

Principal peaks in the range 2θ from 15° to 90°, by angle:
| Position (°2θ) | I (rel.) | h k l |
| --- | --- | --- |
| 20.35 | 16 | 2 0 -1 |
| 28.93 | 100 | 1 1 1 |
| 33.53 | 30 | 2 -2 2 |
| 35.63 | 8 | 1 3 -2 |
| 39.54 | 6 | 2 -4 1 |
| 43.14 | 11 | 3 1 -4 |
| 48.15 | 40 | 0 0 4 |
| 52.78 | 7 | 4 2 -3 |
| 57.15 | 30 | 5 -3 1 |
| 58.56 | 8 | 2 4 -1 |
| 59.94 | 6 | -6 2 2 |
| 77.90 | 8 | -7 5 1 |

Structural model:
a b c (Å): 9.2582 9.2589 9.2590
angles (deg): 109.47 109.48 109.46
Space group P1 (No. 1)
One atom of each set of equivalent atoms:
Dy 0.0000 0.0000 0.0000 x1
Dy 0.0326 0.2174 0.7501 x1
Dy 0.2499 0.4672 0.2825 x1
Dy 0.5329 0.7825 0.8152 x1
Dy 0.7503 0.9674 0.2825 x1
Dy 0.8155 0.5328 0.7827 x1
Y 0.0327 0.7174 0.2498 x1
Y 0.0653 0.4999 0.5652 x1
Y 0.2827 0.2500 0.5325 x1
Y 0.2828 0.7499 0.0326 x1
Y 0.3151 0.0325 0.7827 x1
Y 0.5003 0.0000 0.5001 x1
Y 0.5327 0.2826 0.3153 x1
Y 0.5652 0.5001 0.0651 x1
Y 0.7828 0.2499 0.0325 x1
Y 0.7825 0.7501 0.5327 x1
O 0.0110 0.4893 0.3033 x1
O 0.0116 0.2184 0.4899 x1
O 0.0227 0.2614 0.0016 x1
O 0.0427 0.4789 0.8045 x1
O 0.0533 0.9786 0.7727 x1
O 0.0545 0.7928 0.0436 x1
O 0.2401 0.9792 0.5013 x1
O 0.2510 0.2072 0.2615 x1
O 0.2717 0.7812 0.7932 x1
O 0.2940 0.7182 0.2719 x1
O 0.3132 0.2925 0.8033 x1
O 0.3256 0.5210 0.5636 x1
O 0.5114 0.7080 0.0210 x1
O 0.5116 0.5219 0.2933 x1
O 0.5228 0.0206 0.2609 x1
O 0.5434 0.2388 0.0640 x1
O 0.5539 0.2817 0.5757 x1
O 0.5546 0.0098 0.7619 x1
O 0.7403 0.7386 0.7612 x1
O 0.7522 0.9902 0.5441 x1
O 0.7714 0.4781 0.9895 x1
O 0.7943 0.0214 0.0750 x1
O 0.8142 0.5108 0.5217 x1
O 0.8250 0.7616 0.3043 x1

***

Ho4SiSe2Cl: simulated PXRD pattern (λ = 1.5418 Å (Cu Kα)), based on a DFT-relaxed cell (PBE, Alexandria).

Principal peaks in the range 2θ from 15° to 90°, by angle:
| Position (°2θ) | I (rel.) | h k l |
| --- | --- | --- |
| 26.77 | 16 | 0 0 2 |
| 26.92 | 51 | 1 1 -1 |
| 31.10 | 100 | 1 1 1 |
| 31.23 | 49 | 2 0 -2 |
| 44.43 | 17 | 2 0 2 |
| 44.56 | 34 | 1 1 -3 |
| 44.72 | 56 | 0 2 0 |
| 52.83 | 12 | 0 2 2 |
| 55.50 | 29 | 2 2 -2 |
| 64.84 | 11 | 2 2 2 |
| 73.84 | 23 | 1 3 1 |
| 82.42 | 12 | 3 3 -1 |

Structural model:
a b c (Å): 7.0146 4.0560 7.0493
angles (deg): 90.00 109.11 90.00
Space group P2/m (No. 10)
One atom of each set of equivalent atoms:
Ho 0.2377 0.0000 0.2298 x2
Ho 0.2529 0.5000 0.7726 x2
Si 0.0000 0.5000 0.0000 x1
Se 0.5000 0.0000 0.0000 x1
Se 0.5000 0.5000 0.5000 x1
Cl 0.0000 0.0000 0.5000 x1

***

Tl4Cu3Br10: simulated PXRD pattern (λ = 1.5418 Å (Cu Kα)), based on a DFT-relaxed cell (PBE, Alexandria).

Principal peaks in the range 2θ from 15° to 90°, by angle:
| Position (°2θ) | I (rel.) | h k l |
| --- | --- | --- |
| 24.14 | 48 | 1 0 7 |
| 24.29 | 46 | 1 1 0 |
| 28.39 | 25 | 1 1 6 |
| 31.24 | 100 | 1 1 8 |
| 34.19 | 30 | 0 0 14 |
| 34.62 | 95 | 2 0 0 |
| 42.66 | 23 | 2 1 7 |
| 49.45 | 42 | 2 0 14 |
| 49.77 | 32 | 2 2 0 |
| 59.94 | 31 | 3 1 8 |
| 61.77 | 21 | 2 2 14 |
| 82.48 | 18 | 3 1 22 |

Structural model:
a b c (Å): 5.1815 5.1815 36.7198
angles (deg): 90.00 90.00 90.00
Space group I4/mmm (No. 139)
One atom of each set of equivalent atoms:
Tl 0.0000 0.0000 0.0677 x4
Tl 0.0000 0.0000 0.1997 x4
Cu 0.0000 0.0000 0.3592 x4
Cu 0.0000 0.0000 0.5000 x2
Br 0.0000 0.0000 0.2906 x4
Br 0.0000 0.0000 0.4300 x4
Br 0.0000 0.5000 0.0000 x4
Br 0.0000 0.5000 0.1383 x8

***

RbIn2F8: simulated PXRD pattern (λ = 1.5418 Å (Cu Kα)), based on a DFT-relaxed cell (PBE, Alexandria).

Principal peaks in the range 2θ from 15° to 90°, by angle:
| Position (°2θ) | I (rel.) | h k l |
| --- | --- | --- |
| 15.47 | 22 | 0 2 0 |
| 21.45 | 29 | 0 0 1 |
| 26.52 | 100 | 0 2 1 |
| 26.60 | 55 | 2 0 0 |
| 26.87 | 53 | 1 3 0 |
| 37.94 | 34 | 2 2 1 |
| 41.47 | 19 | 2 4 0 |
| 43.70 | 20 | 0 0 2 |
| 47.13 | 21 | 3 3 0 |
| 47.32 | 35 | 1 5 1 |
| 52.05 | 29 | 1 3 2 |
| 66.22 | 20 | 3 3 2 |

Structural model:
a b c (Å): 6.7011 11.4587 4.1428
angles (deg): 90.00 90.00 90.00
Space group Cmmm (No. 65)
One atom of each set of equivalent atoms:
Rb 0.0000 0.0000 0.0000 x2
In 0.0000 0.3054 0.5000 x4
F 0.0000 0.2697 0.0000 x4
F 0.0000 0.5000 0.2478 x4
F 0.1967 0.1444 0.5000 x8

***

Sr2ZrRe: simulated PXRD pattern (λ = 1.5418 Å (Cu Kα)), based on a DFT-relaxed cell (PBE, Alexandria).

Principal peaks in the range 2θ from 15° to 90°, by angle:
| Position (°2θ) | I (rel.) | h k l |
| --- | --- | --- |
| 20.61 | 79 | 2 0 -1 |
| 25.31 | 44 | 2 0 -2 |
| 28.93 | 100 | 1 1 1 |
| 31.07 | 62 | 0 0 3 |
| 31.69 | 88 | 1 1 -2 |
| 34.97 | 55 | 1 1 2 |
| 38.85 | 53 | 3 1 -1 |
| 39.54 | 27 | 3 1 0 |
| 41.02 | 27 | 3 1 -2 |
| 41.85 | 47 | 0 0 4 |
| 42.97 | 29 | 3 1 1 |
| 48.70 | 38 | 0 2 0 |

Structural model:
a b c (Å): 8.8989 3.7382 8.9090
angles (deg): 90.00 104.24 90.00
Space group Cm (No. 8)
One atom of each set of equivalent atoms:
Sr 0.0000 0.0000 0.0000 x2
Sr 0.1636 0.0000 0.5787 x2
Zr 0.2939 0.5000 0.2777 x2
Re 0.0086 0.5000 0.2997 x2

***

ErMn5P3: simulated PXRD pattern (λ = 1.5418 Å (Cu Kα)), based on a DFT-relaxed cell (PBE, Alexandria).

Principal peaks in the range 2θ from 15° to 90°, by angle:
| Position (°2θ) | I (rel.) | h k l |
| --- | --- | --- |
| 26.31 | 35 | 1 1 1 |
| 29.01 | 32 | 0 2 3 |
| 31.08 | 48 | 0 4 1 |
| 32.87 | 67 | 1 3 0 |
| 35.46 | 100 | 1 1 3 |
| 36.96 | 72 | 1 3 2 |
| 39.24 | 31 | 0 4 3 |
| 42.02 | 61 | 1 1 4 |
| 45.04 | 31 | 1 5 0 |
| 48.72 | 49 | 2 0 0 |
| 52.09 | 27 | 1 5 3 |
| 60.25 | 26 | 1 7 1 |

Structural model:
a b c (Å): 3.7383 11.9422 10.7777
angles (deg): 90.00 90.00 90.00
Space group Cmcm (No. 63)
One atom of each set of equivalent atoms:
Er 0.0000 0.1695 0.2500 x4
Mn 0.0000 0.0000 0.0000 x4
Mn 0.0000 0.1922 0.5590 x8
Mn 0.0000 0.4517 0.1471 x8
P 0.0000 0.1149 0.7500 x4
P 0.0000 0.3769 0.5518 x8

***

Y2Ga5Ir4: simulated PXRD pattern (λ = 1.5418 Å (Cu Kα)), based on a DFT-relaxed cell (PBE, Alexandria).

Principal peaks in the range 2θ from 15° to 90°, by angle:
| Position (°2θ) | I (rel.) | h k l |
| --- | --- | --- |
| 19.77 | 58 | 1 1 1 |
| 22.71 | 34 | 0 0 4 |
| 32.84 | 60 | 1 3 1 |
| 33.50 | 26 | 2 0 0 |
| 36.73 | 100 | 1 3 3 |
| 40.85 | 71 | 2 0 4 |
| 43.62 | 24 | 1 3 5 |
| 43.88 | 34 | 0 4 4 |
| 45.09 | 22 | 2 2 4 |
| 46.37 | 25 | 0 0 8 |
| 52.58 | 23 | 1 3 7 |
| 62.03 | 38 | 0 6 4 |

Structural model:
a b c (Å): 5.3507 9.7109 15.6649
angles (deg): 90.00 90.00 90.00
Space group Fmmm (No. 69)
One atom of each set of equivalent atoms:
Y 0.0000 0.0000 0.1591 x8
Ga 0.0000 0.0000 0.5000 x4
Ga 0.2500 0.2500 0.0000 x8
Ga 0.2500 0.2500 0.2500 x8
Ir 0.0000 0.1520 0.3724 x16

***

K2BeTe2: simulated PXRD pattern (λ = 1.5418 Å (Cu Kα)), based on a DFT-relaxed cell (PBE, Alexandria).

Principal peaks in the range 2θ from 15° to 90°, by angle:
| Position (°2θ) | I (rel.) | h k l |
| --- | --- | --- |
| 22.13 | 100 | 1 2 1 |
| 24.58 | 40 | 2 0 0 |
| 25.54 | 67 | 0 4 0 |
| 26.64 | 89 | 0 0 2 |
| 28.75 | 76 | 2 1 1 |
| 31.46 | 59 | 1 4 1 |
| 34.12 | 81 | 2 3 1 |
| 36.56 | 32 | 2 0 2 |
| 37.24 | 53 | 0 4 2 |
| 52.01 | 24 | 2 3 3 |
| 55.96 | 30 | 1 8 1 |
| 56.22 | 28 | 4 3 1 |

Structural model:
a b c (Å): 7.2434 13.9485 6.6912
angles (deg): 90.00 90.00 90.00
Space group Ibam (No. 72)
One atom of each set of equivalent atoms:
K 0.1786 0.1423 0.0000 x8
Be 0.0000 0.5000 0.2500 x4
Te 0.1776 0.4005 0.0000 x8

***

HI: simulated PXRD pattern (λ = 1.5418 Å (Cu Kα)), based on a DFT-relaxed cell (PBE, Alexandria).

Principal peaks in the range 2θ from 15° to 90°, by angle:
| Position (°2θ) | I (rel.) | h k l |
| --- | --- | --- |
| 15.06 | 17 | 0 1 0 |
| 17.61 | 12 | 0 1 1 |
| 18.19 | 14 | 0 0 2 |
| 21.02 | 30 | 1 1 1 |
| 23.70 | 100 | 0 1 2 |
| 27.52 | 68 | 2 1 0 |
| 29.40 | 61 | 2 0 2 |
| 30.40 | 20 | 0 2 0 |
| 36.86 | 16 | 0 0 4 |
| 42.80 | 31 | 2 2 2 |
| 46.61 | 30 | 2 1 4 |
| 53.11 | 28 | 4 1 2 |

Structural model:
a b c (Å): 7.7678 5.8815 9.7530
angles (deg): 90.00 90.00 90.00
Space group Pmn2_1 (No. 31)
One atom of each set of equivalent atoms:
H 0.0000 0.0722 0.0000 x2
H 0.1510 0.7342 0.3910 x4
I 0.0000 0.5493 0.2868 x2
I 0.2456 0.0438 0.0167 x4

***

AcPRhF: simulated PXRD pattern (λ = 1.5418 Å (Cu Kα)), based on a DFT-relaxed cell (PBE, Alexandria).

Principal peaks in the range 2θ from 15° to 90°, by angle:
| Position (°2θ) | I (rel.) | h k l |
| --- | --- | --- |
| 24.22 | 93 | 1 0 1 |
| 29.60 | 27 | 0 0 3 |
| 29.72 | 52 | 1 0 2 |
| 33.02 | 27 | 1 1 1 |
| 37.33 | 100 | 1 1 2 |
| 45.10 | 39 | 2 0 0 |
| 46.01 | 29 | 1 0 4 |
| 51.84 | 26 | 2 1 1 |
| 54.90 | 39 | 2 0 3 |
| 60.62 | 22 | 1 1 5 |
| 66.39 | 20 | 2 1 4 |
| 78.06 | 21 | 3 1 2 |

Structural model:
a b c (Å): 4.0209 4.0209 9.0552
angles (deg): 90.00 90.00 90.00
Space group P4/nmm (No. 129, origin choice 2)
One atom of each set of equivalent atoms:
Ac 0.2500 0.2500 0.1937 x2
P 0.2500 0.2500 0.6486 x2
Rh 0.2500 0.7500 0.5000 x2
F 0.2500 0.7500 0.0000 x2

***

TbZrGa2: simulated PXRD pattern (λ = 1.5418 Å (Cu Kα)), based on a DFT-relaxed cell (PBE, Alexandria).

Principal peaks in the range 2θ from 15° to 90°, by angle:
| Position (°2θ) | I (rel.) | h k l |
| --- | --- | --- |
| 32.62 | 82 | 2 1 1 |
| 33.00 | 12 | 0 1 3 |
| 35.08 | 100 | 1 1 3 |
| 35.93 | 47 | 1 0 4 |
| 36.31 | 14 | 3 0 1 |
| 39.30 | 27 | 3 0 2 |
| 42.24 | 11 | 3 1 1 |
| 42.44 | 37 | 0 2 0 |
| 56.82 | 15 | 1 2 4 |
| 59.21 | 16 | 3 2 2 |
| 65.60 | 14 | 0 1 7 |
| 72.89 | 12 | 1 3 3 |

Structural model:
a b c (Å): 7.6344 4.2595 10.5681
angles (deg): 90.00 90.00 90.00
Space group Pnma (No. 62)
One atom of each set of equivalent atoms:
Tb 0.2090 0.2500 0.1763 x4
Zr 0.0520 0.7500 0.4034 x4
Ga 0.0803 0.2500 0.8546 x4
Ga 0.2100 0.7500 0.9727 x4